(1)
The following is a theoretical PXRD pattern of TbPr4Er15. It was derived from a PBE-relaxed structure, using Cu Kα.
Peak positions follow from Bragg's law for the DFT cell and can differ from measured ones.

Most intense lines, 2θ from 10° to 90°, in order of rising 2θ:
30.85 deg, intensity 1000; 35.70 deg, intensity 340; 35.91 deg, intensity 167; 51.39 deg, intensity 121; 51.54 deg, intensity 239; 61.15 deg, intensity 287; 61.43 deg, intensity 141; 64.28 deg, intensity 123; 83.88 deg, intensity 60; 84.12 deg, intensity 118

Atomic structure:
```
data_TbPr4Er15
_chemical_formula_sum 'Tb1 Pr4 Er15'
_cell_length_a 5.029
_cell_length_b 5.029
_cell_length_c 25.005
_cell_angle_alpha 90.00
_cell_angle_beta 90.00
_cell_angle_gamma 90.00
_space_group_name_H-M_alt 'P 1'
_space_group_IT_number 1
loop_
_space_group_symop_operation_xyz
'x,y,z'
loop_
_atom_site_label
_atom_site_fract_x
_atom_site_fract_y
_atom_site_fract_z
Tb1 0.000 0.000 0.000
Pr1 0.000 0.000 0.199
Pr2 0.000 0.000 0.400
Pr3 0.000 0.000 0.600
Pr4 0.000 0.000 0.801
Er1 0.000 0.500 0.098
Er2 0.000 0.500 0.299
Er3 0.000 0.500 0.500
Er4 0.000 0.500 0.701
Er5 0.000 0.500 0.902
Er6 0.500 0.000 0.098
Er7 0.500 0.000 0.299
Er8 0.500 0.000 0.500
Er9 0.500 0.000 0.701
Er10 0.500 0.000 0.902
Er11 0.500 0.500 0.000
Er12 0.500 0.500 0.199
Er13 0.500 0.500 0.400
Er14 0.500 0.500 0.600
Er15 0.500 0.500 0.801
```



(2)
The following is a theoretical PXRD pattern of Na5Tl5Pt2. It was derived from a PBE-relaxed structure, using Cu Kα.
Peak positions follow from Bragg's law for the DFT cell and can differ from measured ones.

Most intense lines, 2θ from 10° to 90°, in order of rising 2θ:
13.54 deg, intensity 967; 16.48 deg, intensity 572; 17.49 deg, intensity 457; 19.50 deg, intensity 1000; 20.81 deg, intensity 828; 31.69 deg, intensity 666; 34.17 deg, intensity 453; 35.74 deg, intensity 764; 42.37 deg, intensity 489; 46.08 deg, intensity 535

Atomic structure:
```
data_Na5Tl5Pt2
_chemical_formula_sum 'Na5 Tl5 Pt2'
_cell_length_a 5.944
_cell_length_b 5.944
_cell_length_c 13.097
_cell_angle_alpha 92.74
_cell_angle_beta 92.74
_cell_angle_gamma 50.00
_space_group_name_H-M_alt 'P 1'
_space_group_IT_number 1
loop_
_space_group_symop_operation_xyz
'x,y,z'
loop_
_atom_site_label
_atom_site_fract_x
_atom_site_fract_y
_atom_site_fract_z
Na1 0.000 0.000 0.000
Na2 0.168 0.168 0.341
Na3 0.309 0.309 0.101
Na4 0.691 0.691 0.899
Na5 0.832 0.832 0.659
Tl1 0.134 0.134 0.719
Tl2 0.384 0.384 0.861
Tl3 0.500 0.500 0.500
Tl4 0.616 0.616 0.139
Tl5 0.866 0.866 0.281
Pt1 0.464 0.464 0.299
Pt2 0.536 0.536 0.701
```



(3)
The following is a theoretical PXRD pattern of Li2NbP2O8. It was derived from a PBE-relaxed structure, using Cu Kα.
Peak positions follow from Bragg's law for the DFT cell and can differ from measured ones.

Most intense lines, 2θ from 10° to 90°, in order of rising 2θ:
15.58 deg, intensity 1000; 20.18 deg, intensity 728; 23.02 deg, intensity 599; 24.86 deg, intensity 154; 30.00 deg, intensity 501; 30.18 deg, intensity 319; 31.47 deg, intensity 182; 34.04 deg, intensity 170; 37.43 deg, intensity 158; 47.03 deg, intensity 188

Atomic structure:
```
data_Li2NbP2O8
_chemical_formula_sum 'Li4 Nb2 P4 O16'
_cell_length_a 5.267
_cell_length_b 8.099
_cell_length_c 9.563
_cell_angle_alpha 90.00
_cell_angle_beta 123.38
_cell_angle_gamma 90.00
_space_group_name_H-M_alt 'P 1'
_space_group_IT_number 1
loop_
_space_group_symop_operation_xyz
'x,y,z'
loop_
_atom_site_label
_atom_site_fract_x
_atom_site_fract_y
_atom_site_fract_z
Li1 0.076 0.142 0.077
Li2 0.076 0.358 0.577
Li3 0.924 0.642 0.423
Li4 0.924 0.858 0.923
Nb1 0.000 0.000 0.500
Nb2 0.000 0.500 0.000
P1 0.295 0.695 0.795
P2 0.295 0.805 0.295
P3 0.705 0.195 0.705
P4 0.705 0.305 0.205
O1 0.155 0.571 0.654
O2 0.155 0.929 0.154
O3 0.167 0.677 0.907
O4 0.167 0.823 0.407
O5 0.221 0.624 0.222
O6 0.221 0.876 0.722
O7 0.352 0.178 0.593
O8 0.352 0.322 0.093
O9 0.648 0.678 0.907
O10 0.648 0.822 0.407
O11 0.779 0.124 0.278
O12 0.779 0.376 0.778
O13 0.833 0.177 0.593
O14 0.833 0.323 0.093
O15 0.845 0.071 0.846
O16 0.845 0.429 0.346
```



(4)
The following is a theoretical PXRD pattern of Na8B11C5. It was derived from a PBE-relaxed structure, using Cu Kα.
Peak positions follow from Bragg's law for the DFT cell and can differ from measured ones.

Most intense lines, 2θ from 10° to 90°, in order of rising 2θ:
35.82 deg, intensity 92; 36.00 deg, intensity 184; 41.74 deg, intensity 508; 41.90 deg, intensity 1000; 42.18 deg, intensity 384; 56.63 deg, intensity 102; 64.48 deg, intensity 174; 64.84 deg, intensity 85; 76.91 deg, intensity 126; 80.11 deg, intensity 282

Atomic structure:
```
data_Na8B11C5
_chemical_formula_sum 'Na8 B11 C5'
_cell_length_a 9.929
_cell_length_b 5.780
_cell_length_c 9.040
_cell_angle_alpha 80.89
_cell_angle_beta 35.09
_cell_angle_gamma 64.02
_space_group_name_H-M_alt 'P 1'
_space_group_IT_number 1
loop_
_space_group_symop_operation_xyz
'x,y,z'
loop_
_atom_site_label
_atom_site_fract_x
_atom_site_fract_y
_atom_site_fract_z
Na1 0.125 0.374 0.126
Na2 0.126 0.874 0.126
Na3 0.374 0.125 0.374
Na4 0.374 0.625 0.375
Na5 0.625 0.374 0.626
Na6 0.626 0.874 0.626
Na7 0.874 0.126 0.874
Na8 0.874 0.626 0.875
B1 0.161 0.161 0.839
B2 0.162 0.679 0.838
B3 0.331 0.331 0.669
B4 0.354 0.822 0.646
B5 0.415 0.415 0.085
B6 0.415 0.915 0.085
B7 0.679 0.162 0.321
B8 0.822 0.354 0.178
B9 0.822 0.822 0.178
B10 0.915 0.415 0.585
B11 0.915 0.915 0.585
C1 0.084 0.084 0.416
C2 0.084 0.584 0.416
C3 0.584 0.084 0.916
C4 0.584 0.584 0.916
C5 0.667 0.667 0.333
```



(5)
The following is a theoretical PXRD pattern of Sm4Tm6Sc. It was derived from a PBE-relaxed structure, using Cu Kα.
Peak positions follow from Bragg's law for the DFT cell and can differ from measured ones.

Most intense lines, 2θ from 10° to 90°, in order of rising 2θ:
21.98 deg, intensity 330; 28.73 deg, intensity 519; 29.38 deg, intensity 484; 31.12 deg, intensity 1000; 34.82 deg, intensity 695; 37.55 deg, intensity 311; 39.07 deg, intensity 250; 40.95 deg, intensity 445; 43.90 deg, intensity 254; 58.63 deg, intensity 342

Atomic structure:
```
data_Sm4Tm6Sc
_chemical_formula_sum 'Sm4 Tm6 Sc1'
_cell_length_a 9.592
_cell_length_b 9.592
_cell_length_c 9.592
_cell_angle_alpha 140.25
_cell_angle_beta 140.25
_cell_angle_gamma 57.47
_space_group_name_H-M_alt 'P 1'
_space_group_IT_number 1
loop_
_space_group_symop_operation_xyz
'x,y,z'
loop_
_atom_site_label
_atom_site_fract_x
_atom_site_fract_y
_atom_site_fract_z
Sm1 0.139 0.139 0.626
Sm2 0.486 0.861 0.000
Sm3 0.514 0.514 0.374
Sm4 0.861 0.486 0.000
Tm1 0.000 0.500 0.500
Tm2 0.052 0.694 0.000
Tm3 0.306 0.306 0.358
Tm4 0.500 0.000 0.500
Tm5 0.694 0.052 0.000
Tm6 0.948 0.948 0.642
Sc1 0.500 0.500 0.000
```